# 1
# BaGa2O4
Simulated powder XRD pattern, λ = 1.5418 Å (Cu Kα). Input: a structure optimized by DFT (PBE).

Structure:
```
data_BaGa2O4
_chemical_formula_sum 'Ba8 Ga16 O32'
_cell_length_a 10.860
_cell_length_b 10.860
_cell_length_c 9.002
_cell_angle_alpha 90.00
_cell_angle_beta 90.00
_cell_angle_gamma 120.00
_space_group_name_H-M_alt 'P 1'
_space_group_IT_number 1
loop_
_space_group_symop_operation_xyz
'x,y,z'
loop_
_atom_site_label
_atom_site_type_symbol
_atom_site_fract_x
_atom_site_fract_y
_atom_site_fract_z
_atom_site_occupancy
Ba1 Ba 0.000 0.000 0.000 1
Ba2 Ba 0.000 0.000 0.500 1
Ba3 Ba 0.020 0.504 0.488 1
Ba4 Ba 0.484 0.980 0.488 1
Ba5 Ba 0.496 0.516 0.488 1
Ba6 Ba 0.504 0.484 0.988 1
Ba7 Ba 0.516 0.020 0.988 1
Ba8 Ba 0.980 0.496 0.988 1
Ga1 Ga 0.153 0.827 0.791 1
Ga2 Ga 0.156 0.826 0.179 1
Ga3 Ga 0.173 0.327 0.791 1
Ga4 Ga 0.174 0.330 0.179 1
Ga5 Ga 0.327 0.153 0.291 1
Ga6 Ga 0.330 0.156 0.679 1
Ga7 Ga 0.333 0.667 0.285 1
Ga8 Ga 0.333 0.667 0.705 1
Ga9 Ga 0.667 0.333 0.205 1
Ga10 Ga 0.667 0.333 0.785 1
Ga11 Ga 0.670 0.844 0.179 1
Ga12 Ga 0.673 0.847 0.791 1
Ga13 Ga 0.826 0.670 0.679 1
Ga14 Ga 0.827 0.673 0.291 1
Ga15 Ga 0.844 0.174 0.679 1
Ga16 Ga 0.847 0.173 0.291 1
O1 O 0.000 0.323 0.188 1
O2 O 0.000 0.677 0.688 1
O3 O 0.005 0.833 0.266 1
O4 O 0.088 0.779 0.985 1
O5 O 0.167 0.171 0.266 1
O6 O 0.169 0.668 0.236 1
O7 O 0.171 0.005 0.766 1
O8 O 0.172 0.496 0.758 1
O9 O 0.221 0.309 0.985 1
O10 O 0.309 0.088 0.485 1
O11 O 0.323 0.000 0.188 1
O12 O 0.323 0.323 0.688 1
O13 O 0.325 0.828 0.758 1
O14 O 0.332 0.501 0.236 1
O15 O 0.333 0.667 0.496 1
O16 O 0.496 0.325 0.258 1
O17 O 0.499 0.831 0.236 1
O18 O 0.501 0.169 0.736 1
O19 O 0.504 0.675 0.758 1
O20 O 0.667 0.333 0.996 1
O21 O 0.668 0.499 0.736 1
O22 O 0.675 0.172 0.258 1
O23 O 0.677 0.000 0.688 1
O24 O 0.677 0.677 0.188 1
O25 O 0.691 0.912 0.985 1
O26 O 0.779 0.691 0.485 1
O27 O 0.828 0.504 0.258 1
O28 O 0.829 0.995 0.266 1
O29 O 0.831 0.332 0.736 1
O30 O 0.833 0.829 0.766 1
O31 O 0.912 0.221 0.485 1
O32 O 0.995 0.167 0.766 1
```

Main lines, most intense first (10° ≤ 2θ ≤ 80°):
- 3.252 Å, 27.43 deg, I = 100
- 2.715 Å, 32.99 deg, I = 61
- 2.084 Å, 43.42 deg, I = 27
- 1.653 Å, 55.59 deg, I = 25
- 4.168 Å, 21.32 deg, I = 16
- 1.568 Å, 58.92 deg, I = 15
- 2.530 Å, 35.49 deg, I = 13
- 1.733 Å, 52.84 deg, I = 12

***

# 2
# V4WC5
Simulated powder XRD pattern, λ = 1.5418 Å (Cu Kα). Input: a structure optimized by DFT (PBE).

Structure:
```
data_V4WC5
_chemical_formula_sum 'V4 W1 C5'
_cell_length_a 12.302
_cell_length_b 12.302
_cell_length_c 12.302
_cell_angle_alpha 13.88
_cell_angle_beta 13.88
_cell_angle_gamma 13.88
_space_group_name_H-M_alt 'P 1'
_space_group_IT_number 1
loop_
_space_group_symop_operation_xyz
'x,y,z'
loop_
_atom_site_label
_atom_site_type_symbol
_atom_site_fract_x
_atom_site_fract_y
_atom_site_fract_z
_atom_site_occupancy
V1 V 0.098 0.098 0.098 1
V2 V 0.300 0.300 0.300 1
V3 V 0.700 0.700 0.700 1
V4 V 0.902 0.902 0.902 1
W1 W 0.500 0.500 0.500 1
C1 C 0.000 0.000 0.000 1
C2 C 0.203 0.203 0.203 1
C3 C 0.399 0.399 0.399 1
C4 C 0.601 0.601 0.601 1
C5 C 0.797 0.797 0.797 1
```

Main lines, most intense first (10° ≤ 2θ ≤ 80°):
- 2.104 Å, 42.98 deg, I = 100
- 2.428 Å, 37.03 deg, I = 91
- 6.091 Å, 14.54 deg, I = 40
- 1.268 Å, 74.87 deg, I = 34
- 2.436 Å, 36.89 deg, I = 30
- 1.486 Å, 62.50 deg, I = 30
- 1.490 Å, 62.32 deg, I = 30
- 4.060 Å, 21.89 deg, I = 19

***

# 3
# CaMg14Sb
Simulated powder XRD pattern, λ = 1.5418 Å (Cu Kα). Input: a structure optimized by DFT (PBE).

Structure:
```
data_CaMg14Sb
_chemical_formula_sum 'Ca1 Mg14 Sb1'
_cell_length_a 6.482
_cell_length_b 6.482
_cell_length_c 10.503
_cell_angle_alpha 90.00
_cell_angle_beta 90.00
_cell_angle_gamma 120.00
_space_group_name_H-M_alt 'P 1'
_space_group_IT_number 1
loop_
_space_group_symop_operation_xyz
'x,y,z'
loop_
_atom_site_label
_atom_site_type_symbol
_atom_site_fract_x
_atom_site_fract_y
_atom_site_fract_z
_atom_site_occupancy
Ca1 Ca 0.000 0.000 0.000 1
Mg1 Mg 0.006 0.503 0.000 1
Mg2 Mg 0.169 0.338 0.254 1
Mg3 Mg 0.169 0.338 0.746 1
Mg4 Mg 0.169 0.831 0.254 1
Mg5 Mg 0.169 0.831 0.746 1
Mg6 Mg 0.497 0.503 0.000 1
Mg7 Mg 0.497 0.994 0.000 1
Mg8 Mg 0.503 0.005 0.500 1
Mg9 Mg 0.503 0.497 0.500 1
Mg10 Mg 0.662 0.831 0.254 1
Mg11 Mg 0.662 0.831 0.746 1
Mg12 Mg 0.667 0.333 0.245 1
Mg13 Mg 0.667 0.333 0.755 1
Mg14 Mg 0.995 0.497 0.500 1
Sb1 Sb 0.000 0.000 0.500 1
```

Main lines, most intense first (10° ≤ 2θ ≤ 80°):
- 2.475 Å, 36.29 deg, I = 100
- 2.807 Å, 31.89 deg, I = 27
- 2.626 Å, 34.15 deg, I = 26
- 5.613 Å, 15.79 deg, I = 23
- 3.835 Å, 23.19 deg, I = 20
- 1.379 Å, 67.98 deg, I = 19
- 1.485 Å, 62.54 deg, I = 19
- 4.951 Å, 17.92 deg, I = 17

***

Please write out number 1 again, unchanged.
# BaGa2O4
Simulated powder XRD pattern, λ = 1.5418 Å (Cu Kα). Input: a structure optimized by DFT (PBE).

Structure:
```
data_BaGa2O4
_chemical_formula_sum 'Ba8 Ga16 O32'
_cell_length_a 10.860
_cell_length_b 10.860
_cell_length_c 9.002
_cell_angle_alpha 90.00
_cell_angle_beta 90.00
_cell_angle_gamma 120.00
_space_group_name_H-M_alt 'P 1'
_space_group_IT_number 1
loop_
_space_group_symop_operation_xyz
'x,y,z'
loop_
_atom_site_label
_atom_site_type_symbol
_atom_site_fract_x
_atom_site_fract_y
_atom_site_fract_z
_atom_site_occupancy
Ba1 Ba 0.000 0.000 0.000 1
Ba2 Ba 0.000 0.000 0.500 1
Ba3 Ba 0.020 0.504 0.488 1
Ba4 Ba 0.484 0.980 0.488 1
Ba5 Ba 0.496 0.516 0.488 1
Ba6 Ba 0.504 0.484 0.988 1
Ba7 Ba 0.516 0.020 0.988 1
Ba8 Ba 0.980 0.496 0.988 1
Ga1 Ga 0.153 0.827 0.791 1
Ga2 Ga 0.156 0.826 0.179 1
Ga3 Ga 0.173 0.327 0.791 1
Ga4 Ga 0.174 0.330 0.179 1
Ga5 Ga 0.327 0.153 0.291 1
Ga6 Ga 0.330 0.156 0.679 1
Ga7 Ga 0.333 0.667 0.285 1
Ga8 Ga 0.333 0.667 0.705 1
Ga9 Ga 0.667 0.333 0.205 1
Ga10 Ga 0.667 0.333 0.785 1
Ga11 Ga 0.670 0.844 0.179 1
Ga12 Ga 0.673 0.847 0.791 1
Ga13 Ga 0.826 0.670 0.679 1
Ga14 Ga 0.827 0.673 0.291 1
Ga15 Ga 0.844 0.174 0.679 1
Ga16 Ga 0.847 0.173 0.291 1
O1 O 0.000 0.323 0.188 1
O2 O 0.000 0.677 0.688 1
O3 O 0.005 0.833 0.266 1
O4 O 0.088 0.779 0.985 1
O5 O 0.167 0.171 0.266 1
O6 O 0.169 0.668 0.236 1
O7 O 0.171 0.005 0.766 1
O8 O 0.172 0.496 0.758 1
O9 O 0.221 0.309 0.985 1
O10 O 0.309 0.088 0.485 1
O11 O 0.323 0.000 0.188 1
O12 O 0.323 0.323 0.688 1
O13 O 0.325 0.828 0.758 1
O14 O 0.332 0.501 0.236 1
O15 O 0.333 0.667 0.496 1
O16 O 0.496 0.325 0.258 1
O17 O 0.499 0.831 0.236 1
O18 O 0.501 0.169 0.736 1
O19 O 0.504 0.675 0.758 1
O20 O 0.667 0.333 0.996 1
O21 O 0.668 0.499 0.736 1
O22 O 0.675 0.172 0.258 1
O23 O 0.677 0.000 0.688 1
O24 O 0.677 0.677 0.188 1
O25 O 0.691 0.912 0.985 1
O26 O 0.779 0.691 0.485 1
O27 O 0.828 0.504 0.258 1
O28 O 0.829 0.995 0.266 1
O29 O 0.831 0.332 0.736 1
O30 O 0.833 0.829 0.766 1
O31 O 0.912 0.221 0.485 1
O32 O 0.995 0.167 0.766 1
```

Main lines, most intense first (10° ≤ 2θ ≤ 80°):
- 3.252 Å, 27.43 deg, I = 100
- 2.715 Å, 32.99 deg, I = 61
- 2.084 Å, 43.42 deg, I = 27
- 1.653 Å, 55.59 deg, I = 25
- 4.168 Å, 21.32 deg, I = 16
- 1.568 Å, 58.92 deg, I = 15
- 2.530 Å, 35.49 deg, I = 13
- 1.733 Å, 52.84 deg, I = 12